For Na4ZnAgSn2, a structure optimized by DFT (PBE) gives the calculated X-ray powder pattern in this record (copper Kα).
Neutral-atom scattering factors, no anomalous dispersion.

Main lines, by angle (2θ = 10–80°):
h k l  2θ (°)  I (rel.)
1 0 1  21.66  47
2 0 0  35.74  100
1 0 3  42.08  9
2 1 1  42.23  17
0 0 4  51.27  6
2 2 0  51.53  12
2 1 3  56.41  7
2 0 4  64.11  12
3 1 2  64.27  23
2 2 4  75.65  7

Atomic structure:
Lattice parameters (Å, degrees): 5.017 5.017 7.127 90.00 90.00 90.00
Fractional coordinates of all 8 atoms:
Na (0.000, 0.000, 0.000)
Na (0.000, 0.500, 0.250)
Na (0.500, 0.000, 0.750)
Na (0.500, 0.500, 0.500)
Zn (0.000, 0.000, 0.500)
Ag (0.500, 0.500, 0.000)
Sn (0.000, 0.500, 0.746)
Sn (0.500, 0.000, 0.254)